Simulated powder XRD pattern of Li3Mn2P5O16 for Cu Kα (weighted mean of Kα1 and Kα2), from a DFT-relaxed cell (GGA+U, the Materials Project).

Top 10 peaks for 15° ≤ 2θ ≤ 90°, in order of rising 2θ:
| 2θ/deg | intensity |
| --- | --- |
| 19.46 | 100 |
| 21.84 | 34 |
| 22.25 | 76 |
| 23.24 | 27 |
| 29.34 | 35 |
| 31.03 | 44 |
| 31.32 | 30 |
| 32.01 | 54 |
| 32.62 | 31 |
| 35.24 | 19 |

```
data_Li3Mn2P5O16
_symmetry_space_group_name_H-M 'P 1 2/c 1'
_symmetry_Int_Tables_number 13
_cell_length_a 5.102
_cell_length_b 7.072
_cell_length_c 18.288
_cell_angle_alpha 90.00
_cell_angle_beta 92.97
_cell_angle_gamma 90.00
loop_
_symmetry_equiv_pos_as_xyz
'x,y,z'
'-x,-y,-z'
'-x,y,-z+1/2'
'x,-y,z+1/2'
loop_
_atom_site_label
_atom_site_fract_x
_atom_site_fract_y
_atom_site_fract_z
_atom_site_occupancy
Li1 0.000 0.022 0.250 1
Li2 0.244 0.337 0.964 1
Mn1 0.229 0.167 0.413 1
P1 0.241 0.470 0.125 1
P2 0.270 0.133 0.589 1
P3 0.500 0.244 0.250 1
O1 0.051 0.448 0.393 1
O2 0.107 0.205 0.522 1
O3 0.127 0.016 0.133 1
O4 0.302 0.315 0.646 1
O5 0.310 0.385 0.204 1
O6 0.322 0.136 0.298 1
O7 0.419 0.391 0.068 1
O8 0.446 0.090 0.928 1
```

Simulated powder XRD pattern of LiCo4O8 for Cu Kα (weighted mean of Kα1 and Kα2), from a DFT-relaxed cell (GGA+U, the Materials Project).

Top 10 peaks for 15° ≤ 2θ ≤ 90°, in order of rising 2θ:
| 2θ/deg | intensity |
| --- | --- |
| 17.64 | 100 |
| 35.72 | 4 |
| 36.41 | 9 |
| 36.54 | 19 |
| 38.05 | 5 |
| 43.49 | 43 |
| 47.35 | 5 |
| 56.42 | 15 |
| 61.74 | 7 |
| 64.60 | 8 |

```
data_LiCo4O8
_symmetry_space_group_name_H-M 'C 1 2/m 1'
_symmetry_Int_Tables_number 12
_cell_length_a 10.010
_cell_length_b 5.747
_cell_length_c 5.292
_cell_angle_alpha 90.00
_cell_angle_beta 108.22
_cell_angle_gamma 90.00
loop_
_symmetry_equiv_pos_as_xyz
'x,y,z'
'-x,-y,-z'
'-x,y,-z'
'x,-y,z'
'x+1/2,y+1/2,z'
'-x+1/2,-y+1/2,-z'
'-x+1/2,y+1/2,-z'
'x+1/2,-y+1/2,z'
loop_
_atom_site_label
_atom_site_fract_x
_atom_site_fract_y
_atom_site_fract_z
_atom_site_occupancy
Li1 0.000 0.000 0.000 1
Co1 0.000 0.251 0.500 1
Co2 0.246 0.500 0.483 1
O1 0.108 0.000 0.704 1
O2 0.111 0.500 0.686 1
O3 0.125 0.238 0.303 1
```

Simulated powder XRD pattern of Cs2Mo3SeO12 for Cu Kα (weighted mean of Kα1 and Kα2), from a DFT-relaxed cell (GGA+U, the Materials Project).

Top 10 peaks for 15° ≤ 2θ ≤ 90°, in order of rising 2θ:
| 2θ/deg | intensity |
| --- | --- |
| 23.99 | 19 |
| 24.83 | 63 |
| 27.53 | 13 |
| 27.72 | 100 |
| 28.63 | 67 |
| 42.72 | 20 |
| 44.56 | 22 |
| 44.93 | 26 |
| 49.12 | 28 |
| 55.81 | 20 |

```
data_Cs2Mo3SeO12
_symmetry_space_group_name_H-M 'P 63'
_symmetry_Int_Tables_number 173
_cell_length_a 7.4185
_cell_length_b 7.4185
_cell_length_c 12.9614
_cell_angle_alpha 90.00
_cell_angle_beta 90.00
_cell_angle_gamma 120.00
loop_
_symmetry_equiv_pos_as_xyz
'x,y,z'
'x-y,x,z+1/2'
'-y,x-y,z'
'-x,-y,z+1/2'
'-x+y,-x,z'
'y,-x+y,z+1/2'
loop_
_atom_site_label
_atom_site_fract_x
_atom_site_fract_y
_atom_site_fract_z
_atom_site_occupancy
Cs1 0.3333 0.6667 0.0000 1
Cs2 0.3333 0.6667 0.3728 1
Mo1 0.1419 0.8032 0.6688 1
Se1 0.0000 0.0000 0.4496 1
O1 0.0882 0.5415 0.6271 1
O2 0.1180 0.2472 0.5048 1
O3 0.1229 0.8725 0.1788 1
O4 0.1987 0.7998 0.7990 1
```

Copy entry 3 word for word.
Simulated powder XRD pattern of Cs2Mo3SeO12 for Cu Kα (weighted mean of Kα1 and Kα2), from a DFT-relaxed cell (GGA+U, the Materials Project).

Top 10 peaks for 15° ≤ 2θ ≤ 90°, in order of rising 2θ:
| 2θ/deg | intensity |
| --- | --- |
| 23.99 | 19 |
| 24.83 | 63 |
| 27.53 | 13 |
| 27.72 | 100 |
| 28.63 | 67 |
| 42.72 | 20 |
| 44.56 | 22 |
| 44.93 | 26 |
| 49.12 | 28 |
| 55.81 | 20 |

```
data_Cs2Mo3SeO12
_symmetry_space_group_name_H-M 'P 63'
_symmetry_Int_Tables_number 173
_cell_length_a 7.4185
_cell_length_b 7.4185
_cell_length_c 12.9614
_cell_angle_alpha 90.00
_cell_angle_beta 90.00
_cell_angle_gamma 120.00
loop_
_symmetry_equiv_pos_as_xyz
'x,y,z'
'x-y,x,z+1/2'
'-y,x-y,z'
'-x,-y,z+1/2'
'-x+y,-x,z'
'y,-x+y,z+1/2'
loop_
_atom_site_label
_atom_site_fract_x
_atom_site_fract_y
_atom_site_fract_z
_atom_site_occupancy
Cs1 0.3333 0.6667 0.0000 1
Cs2 0.3333 0.6667 0.3728 1
Mo1 0.1419 0.8032 0.6688 1
Se1 0.0000 0.0000 0.4496 1
O1 0.0882 0.5415 0.6271 1
O2 0.1180 0.2472 0.5048 1
O3 0.1229 0.8725 0.1788 1
O4 0.1987 0.7998 0.7990 1
```